Starting from a cell relaxed with PBE, the X-ray powder pattern of MgSnO2 was calculated for λ = 1.5418 Å (Cu Kα).
Neutral-atom scattering factors, no anomalous dispersion.

Structure:
```
MgSnO2
1.0
3.3274 0.0000 0.0000
0.9645 8.4779 0.0000
0.2661 0.2842 9.4407
Mg Sn O
4 4 8
Cartesian
1.0932 2.9540 2.5525 Mg
1.6807 5.9038 3.9255 Mg
2.8773 2.8583 5.5152 Mg
3.4648 5.8080 6.8882 Mg
1.8116 8.4559 6.3158 Sn
1.8836 2.9225 8.4844 Sn
2.6744 5.8395 0.9563 Sn
2.7464 0.3061 3.1248 Sn
1.1569 4.9314 2.1739 O
1.2122 2.7961 4.5147 O
1.8018 6.7496 7.5058 O
2.1921 7.4494 2.3020 O
2.3659 1.3126 7.1387 O
2.7562 2.0125 1.9349 O
3.3458 5.9660 4.9260 O
3.4011 3.8307 7.2668 O
```

Top 8 peaks for 2θ = 10–80°, most intense first:
2θ 14.3, I 100.0; 2θ 30.0, I 91.2; 2θ 31.7, I 87.7; 2θ 21.8, I 84.7; 2θ 41.2, I 82.5; 2θ 31.5, I 68.9; 2θ 22.7, I 67.4; 2θ 36.1, I 57.3



Starting from a cell relaxed with PBE, the X-ray powder pattern of Nd2BiN was calculated for λ = 1.5418 Å (Cu Kα).
Neutral-atom scattering factors, no anomalous dispersion.

Structure:
```
Nd2BiN
1.0
4.7439 0.0000 0.0000
0.0000 4.7439 0.0000
0.0000 0.0000 9.4145
Nd Bi N
4 2 2
Cartesian
1.1860 1.1860 1.6445 Nd
1.1860 3.5579 4.7073 Nd
3.5579 1.1860 4.7073 Nd
3.5579 3.5579 7.7700 Nd
1.1860 1.1860 7.5884 Bi
3.5579 3.5579 1.8261 Bi
1.1860 1.1860 3.9287 N
3.5579 3.5579 5.4858 N
```

Top 8 peaks for 2θ = 10–80°, most intense first:
2θ 32.8, I 100.0; 2θ 28.2, I 73.9; 2θ 37.9, I 60.8; 2θ 28.4, I 54.8; 2θ 48.1, I 52.6; 2θ 56.0, I 32.2; 2θ 26.6, I 28.9; 2θ 65.3, I 28.3



Starting from a cell relaxed with PBE, the X-ray powder pattern of USiPbO6 was calculated for λ = 1.5418 Å (Cu Kα).
Neutral-atom scattering factors, no anomalous dispersion.

Structure:
```
USiPbO6
1.0
6.7244 0.0000 0.0000
0.0000 6.9308 0.0000
-3.0684 0.0000 13.0320
U Si Pb O
4 4 4 24
Cartesian
-0.8365 1.5424 4.2046 U
-2.3707 1.9230 10.7206 U
6.0267 5.0078 2.3114 U
4.4925 5.3884 8.8274 U
-0.6738 4.9380 5.5540 Si
-2.2080 5.4582 12.0701 Si
5.8641 1.4726 0.9620 Si
4.3299 1.9928 7.4780 Si
2.5852 0.1493 1.6811 Pb
1.0510 3.3161 8.1971 Pb
2.6050 3.6147 4.8350 Pb
1.0708 6.7815 11.3510 Pb
-0.3758 0.3989 2.1550 O
-1.9100 3.0665 8.6710 O
-2.7667 1.6186 12.8568 O
-1.2325 1.8468 6.3408 O
-2.1199 4.1028 11.1344 O
-0.5856 6.2934 4.6183 O
1.1327 4.8401 2.6385 O
-0.4015 5.5561 9.1545 O
-0.5179 1.6098 10.8736 O
1.0163 1.8556 4.3576 O
0.7677 4.4517 6.1598 O
-0.7665 5.9445 12.6758 O
4.4225 0.9863 0.3562 O
2.8883 2.4791 6.8722 O
2.6397 5.0752 8.6744 O
4.1739 5.3210 2.1584 O
4.0575 1.3747 3.8775 O
2.5233 2.0907 10.3935 O
4.2417 0.6374 8.4137 O
5.7759 2.8280 1.8977 O
4.8885 5.0840 6.6913 O
6.4227 5.3122 0.1753 O
5.5660 3.8643 4.3611 O
4.0318 6.5319 10.8771 O
```

Top 8 peaks for 2θ = 10–80°, most intense first:
2θ 29.2, I 100.0; 2θ 14.5, I 57.9; 2θ 27.2, I 50.1; 2θ 20.9, I 49.9; 2θ 13.6, I 45.3; 2θ 25.4, I 38.2; 2θ 27.6, I 38.0; 2θ 30.3, I 35.9